Starting from a cell relaxed with PBE+U, the XRD peak list of KUVIO10 was simulated for a wavelength of 1.5418 Å.
Kinematic intensities with the Lorentz-polarization factor, no thermal factor.

Cell: 10.1517 17.3007 5.0361 Å, 90.00 90.00 90.00°
Fractional coordinates of all 56 atoms:
K: 0.2274 0.1019 0.0000
K: 0.2726 0.6019 0.0000
K: 0.7274 0.3981 0.0000
K: 0.7726 0.8981 0.0000
U: 0.0870 0.7655 0.5640
U: 0.4130 0.2655 0.5640
U: 0.5870 0.7345 0.5640
U: 0.9130 0.2345 0.5640
V: 0.1416 0.4436 0.5566
V: 0.3584 0.9436 0.5566
V: 0.6416 0.0564 0.5566
V: 0.8584 0.5564 0.5566
I: 0.1476 0.3340 0.0699
I: 0.3524 0.8340 0.0699
I: 0.6476 0.1660 0.0699
I: 0.8524 0.6660 0.0699
O: 0.0000 0.0000 0.1156
O: 0.0000 0.5000 0.6662
O: 0.0105 0.1533 0.6794
O: 0.0347 0.3317 0.7717
O: 0.0421 0.4087 0.2493
O: 0.0602 0.2505 0.2271
O: 0.1861 0.6845 0.4541
O: 0.2238 0.7686 0.9289
O: 0.2275 0.4208 0.8778
O: 0.2404 0.5117 0.4554
O: 0.2428 0.8534 0.3770
O: 0.2572 0.3534 0.3770
O: 0.2596 0.0117 0.4554
O: 0.2725 0.9208 0.8778
O: 0.2762 0.2686 0.9289
O: 0.3139 0.1845 0.4541
O: 0.4398 0.7505 0.2271
O: 0.4579 0.9087 0.2493
O: 0.4653 0.8317 0.7717
O: 0.4895 0.6533 0.6794
O: 0.5000 0.0000 0.6662
O: 0.5000 0.5000 0.1156
O: 0.5105 0.3467 0.6794
O: 0.5347 0.1683 0.7717
O: 0.5421 0.0913 0.2493
O: 0.5602 0.2495 0.2271
O: 0.6861 0.8155 0.4541
O: 0.7238 0.7314 0.9289
O: 0.7275 0.0792 0.8778
O: 0.7404 0.9883 0.4554
O: 0.7428 0.6466 0.3770
O: 0.7572 0.1466 0.3770
O: 0.7596 0.4883 0.4554
O: 0.7725 0.5792 0.8778
O: 0.7762 0.2314 0.9289
O: 0.8139 0.3155 0.4541
O: 0.9398 0.7495 0.2271
O: 0.9579 0.5913 0.2493
O: 0.9653 0.6683 0.7717
O: 0.9895 0.8467 0.6794

Main lines, low angle first (2θ from 15° to 90°):
Position (°2θ)  I_rel
23.3  45
25.1  31
25.4  100
27.0  25
27.2  41
29.4  38
35.7  17
48.2  18

=====

Starting from a cell relaxed with PBE+U, the XRD peak list of KMoAsO6 was simulated for a wavelength of 1.5418 Å.
Kinematic intensities with the Lorentz-polarization factor, no thermal factor.

Cell: 10.9422 6.7594 7.1396 Å, 90.00 90.00 90.00°
Fractional coordinates of all 36 atoms:
K: 0.0000 0.0000 0.0000
K: 0.0000 0.5000 0.0000
K: 0.5000 0.0000 0.5000
K: 0.5000 0.5000 0.5000
Mo: 0.1600 0.2500 0.4516
Mo: 0.3400 0.7500 0.9516
Mo: 0.6600 0.2500 0.0484
Mo: 0.8400 0.7500 0.5484
As: 0.1543 0.7500 0.5426
As: 0.3457 0.2500 0.0426
As: 0.6543 0.7500 0.9574
As: 0.8457 0.2500 0.4574
O: 0.0279 0.7500 0.6848
O: 0.0908 0.2500 0.6715
O: 0.1496 0.5440 0.3971
O: 0.1496 0.9560 0.3971
O: 0.1864 0.7500 0.0122
O: 0.2052 0.2500 0.1502
O: 0.2948 0.7500 0.6502
O: 0.3136 0.2500 0.5122
O: 0.3504 0.0440 0.8971
O: 0.3504 0.4560 0.8971
O: 0.4092 0.7500 0.1715
O: 0.4721 0.2500 0.1848
O: 0.5279 0.7500 0.8152
O: 0.5908 0.2500 0.8285
O: 0.6496 0.5440 0.1029
O: 0.6496 0.9560 0.1029
O: 0.6864 0.7500 0.4878
O: 0.7052 0.2500 0.3498
O: 0.7948 0.7500 0.8498
O: 0.8136 0.2500 0.9878
O: 0.8504 0.0440 0.6029
O: 0.8504 0.4560 0.6029
O: 0.9092 0.7500 0.3285
O: 0.9721 0.2500 0.3152

Main lines, low angle first (2θ from 15° to 90°):
Position (°2θ)  I_rel
18.1  22
24.9  54
26.4  40
27.5  100
30.4  56
40.3  23
50.0  29
54.3  20

=====

Starting from a cell relaxed with PBE+U, the XRD peak list of Li2Fe3SnO8 was simulated for a wavelength of 1.5418 Å.
Kinematic intensities with the Lorentz-polarization factor, no thermal factor.

Cell: 5.9997 6.0022 6.1361 Å, 90.92 118.98 119.15°
Fractional coordinates of all 14 atoms:
Li: 0.0000 0.0000 0.0000
Li: 0.4799 0.2529 0.7330
Fe: 0.2405 0.6267 0.3656
Fe: 0.7402 0.1272 0.3663
Fe: 0.7397 0.6272 0.3663
Sn: 0.2404 0.6282 0.8655
O: 0.2098 0.3830 0.5935
O: 0.2163 0.8469 0.6018
O: 0.2643 0.4080 0.1299
O: 0.2695 0.8707 0.1377
O: 0.7185 0.8504 0.5692
O: 0.7248 0.8651 0.1334
O: 0.7552 0.3891 0.5988
O: 0.7627 0.4046 0.1647

Main lines, low angle first (2θ from 15° to 90°):
Position (°2θ)  I_rel
17.9  100
18.0  45
34.0  19
34.4  28
34.6  19
41.8  53
42.5  25
60.3  16